No. 1
Zn2ReW: theoretical powder diffraction line list (Cu Kα X-rays), based on the PBE geometry in Alexandria.

Structure:
a b c (Å): 3.4605 4.2909 7.9133
angles (deg): 90.00 90.00 90.00
Space group Imm2 (No. 44)
Unique sites:
Zn1 0.0000 0.0000 0.0000 (multiplicity 2)
Zn2 0.0000 0.5000 0.2694 (multiplicity 2)
Re1 0.0000 0.5000 0.7602 (multiplicity 2)
W1 0.0000 0.0000 0.5094 (multiplicity 2)

Main lines, low angle first (2θ from 10° to 80°):
2θ (°)  I/Imax  (hkl)
23.6  178  0 1 1
28.1  133  1 0 1
40.1  62  0 1 3
40.5  1000  1 1 2
42.1  225  0 2 0
45.9  173  0 0 4
51.4  54  1 2 1
52.9  115  2 0 0
64.0  127  0 2 4
69.8  99  2 2 0
72.6  87  2 0 4
75.9  156  1 3 2

No. 2
Y5Re4: theoretical powder diffraction line list (Cu Kα X-rays), based on the PBE geometry in Alexandria.

Structure:
a b c (Å): 10.6879 10.6879 3.3716
angles (deg): 90.00 90.00 90.00
Space group I4/mmm (No. 139)
Unique sites:
Y1 0.0000 0.0000 0.0000 (multiplicity 2)
Y2 0.1694 0.1694 0.5000 (multiplicity 8)
Re1 0.0000 0.3612 0.0000 (multiplicity 8)

Main lines, low angle first (2θ from 10° to 80°):
2θ (°)  I/Imax  (hkl)
11.7  484  1 1 0
16.6  107  2 0 0
35.6  495  3 3 0
36.7  1000  3 0 1
44.1  161  4 1 1
51.3  148  6 0 0
54.4  87  0 0 2
61.3  53  5 5 0
64.7  263  6 3 1
66.8  157  3 3 2
77.3  67  7 4 1
78.0  85  6 0 2

No. 3
Y3Re: theoretical powder diffraction line list (Cu Kα X-rays), based on the PBE geometry in Alexandria.

Structure:
a b c (Å): 3.4416 3.4416 9.1866
angles (deg): 90.00 90.00 90.00
Space group P4/mmm (No. 123)
Unique sites:
Y1 0.0000 0.0000 0.0000 (multiplicity 1)
Y2 0.5000 0.5000 0.3169 (multiplicity 2)
Re1 0.0000 0.0000 0.5000 (multiplicity 1)

Main lines, low angle first (2θ from 10° to 80°):
2θ (°)  I/Imax  (hkl)
19.3  133  0 0 2
32.5  1000  1 0 2
36.9  469  1 1 0
38.3  115  1 1 1
39.4  267  1 0 3
47.6  190  1 0 4
53.2  162  2 0 0
55.0  93  1 1 4
63.8  281  2 1 2
68.2  106  2 1 3
73.0  107  1 1 6
74.2  101  2 1 4

No. 4
ZnRe4: theoretical powder diffraction line list (Cu Kα X-rays), based on the PBE geometry in Alexandria.

Structure:
a b c (Å): 6.1600 6.1600 3.9073
angles (deg): 90.00 90.00 90.00
Space group I4/m (No. 87)
Unique sites:
Zn1 0.0000 0.0000 0.0000 (multiplicity 2)
Re1 0.0870 0.7030 0.5000 (multiplicity 8)

Main lines, low angle first (2θ from 10° to 80°):
2θ (°)  I/Imax  (hkl)
20.4  53  1 1 0
27.0  79  1 0 1
40.0  1000  1 2 1
41.5  31  2 2 0
46.5  166  0 0 2
46.6  331  3 1 0
50.2  29  3 0 1
51.2  10  1 1 2
64.0  18  2 2 2
67.1  17  4 1 1
68.0  216  3 1 2
68.1  105  2 4 0

No. 5
Zn3Re: theoretical powder diffraction line list (Cu Kα X-rays), based on the PBE geometry in Alexandria.

Structure:
a b c (Å): 4.6283 8.9586 5.6153
angles (deg): 90.00 90.00 90.00
Space group Pnma (No. 62)
Unique sites:
Zn1 0.1158 0.2500 0.1425 (multiplicity 4)
Zn2 0.2374 0.0010 0.3856 (multiplicity 8)
Re1 0.1333 0.2500 0.6479 (multiplicity 4)

Main lines, low angle first (2θ from 10° to 80°):
2θ (°)  I/Imax  (hkl)
18.6  328  0 1 1
19.8  218  0 2 0
26.9  93  1 1 1
38.9  448  1 1 2
40.3  841  0 4 0
42.7  1000  1 2 2
47.1  85  2 2 1
48.7  196  1 3 2
49.9  206  2 3 0
65.9  87  2 5 0
69.5  98  3 0 2
74.9  181  1 6 2

No. 6
Zn5Re24: theoretical powder diffraction line list (Cu Kα X-rays), based on the PBE geometry in Alexandria.

Structure:
a b c (Å): 9.6289 9.6289 9.6289
angles (deg): 90.00 90.00 90.00
Space group I-43m (No. 217)
Unique sites:
Zn1 0.0000 0.0000 0.0000 (multiplicity 2)
Zn2 0.1669 0.1669 0.8331 (multiplicity 8)
Re1 0.0417 0.3583 0.3583 (multiplicity 24)
Re2 0.0925 0.0925 0.2866 (multiplicity 24)

Main lines, low angle first (2θ from 10° to 80°):
2θ (°)  I/Imax  (hkl)
13.0  64  1 1 0
22.6  105  2 1 1
26.2  63  2 2 0
37.4  131  4 0 0
39.7  1000  4 1 1
44.1  385  3 3 2
46.2  93  4 2 2
48.2  389  4 3 1
69.0  99  5 5 0
72.1  269  5 5 2
73.6  128  6 4 2
75.1  82  7 3 0